The following is a computed PXRD pattern of Ag17Pd2. It was derived from a crystal structure in Alexandria, relaxed with GGA-PBE, using Cu Kα X-rays.
Neutral-atom scattering factors, no anomalous dispersion.

The 10 most intense peaks (10° ≤ 2θ ≤ 90°), most intense first:
- d = 2.366 Å, rel. 1000
- d = 2.114 Å, rel. 921
- d = 2.145 Å, rel. 529
- d = 2.352 Å, rel. 517
- d = 2.716 Å, rel. 370
- d = 1.358 Å, rel. 335
- d = 2.410 Å, rel. 288
- d = 1.431 Å, rel. 266
- d = 1.327 Å, rel. 224
- d = 1.491 Å, rel. 214

Atomic structure:
```
Ag17Pd2
1.0
4.704 2.716 4.820
-4.704 2.716 4.820
0.000 -5.431 4.820
Ag Pd
17 2
direct
0.000 0.000 0.500 Ag
0.000 0.324 0.676 Ag
0.000 0.500 0.000 Ag
0.000 0.676 0.324 Ag
0.094 0.094 0.094 Ag
0.159 0.658 0.658 Ag
0.324 0.000 0.676 Ag
0.324 0.676 0.000 Ag
0.342 0.342 0.841 Ag
0.342 0.841 0.342 Ag
0.500 0.000 0.000 Ag
0.658 0.159 0.658 Ag
0.658 0.658 0.159 Ag
0.676 0.000 0.324 Ag
0.676 0.324 0.000 Ag
0.841 0.342 0.342 Ag
0.906 0.906 0.906 Ag
0.285 0.285 0.285 Pd
0.715 0.715 0.715 Pd
```